This entry pairs a crystal structure of MgRh2AuC with its calculated powder diffraction line list. Radiation: Cu Kα. Structure: the GGA-PBE geometry in Alexandria.

Largest 12 diffraction maxima, in order of falling intensity, 2θ = 10–80°:
| 2theta | Rel. int. | h k l |
| --- | --- | --- |
| 37.60 | 100 | 1 1 1 |
| 29.98 | 34 | 1 0 1 |
| 45.22 | 32 | 2 0 0 |
| 22.16 | 26 | 1 0 0 |
| 62.29 | 25 | 2 0 2 |
| 78.39 | 24 | 3 1 1 |
| 40.49 | 22 | 0 0 2 |
| 71.74 | 15 | 1 1 3 |
| 55.20 | 12 | 2 1 1 |
| 65.87 | 10 | 2 2 0 |
| 46.64 | 8 | 1 0 2 |
| 50.91 | 6 | 2 1 0 |

Cell and atoms:
a = 4.0107 Å, b = 4.0107 Å, c = 4.4558 Å
α = 90.00°, β = 90.00°, γ = 90.00°
Positions (direct):
Mg 0.0000 0.0000 0.0000
Rh 0.0000 0.5000 0.5000
Rh 0.5000 0.0000 0.5000
Au 0.5000 0.5000 0.0000
C 0.0000 0.0000 0.5000